Structure and computed XRD peak list of Er3ZrNi8 (a cell relaxed with GGA-PBE; Cu Ka).
No peak broadening, texture or thermal motion is included.

Cell and atoms:
```
Er3ZrNi8
1.0
2.504 1.445 8.195
-2.504 1.445 8.195
0.000 -2.891 8.195
Er Zr Ni
3 1 8
direct
0.000 0.000 0.000
0.126 0.126 0.126
0.501 0.501 0.501
0.625 0.625 0.625
0.060 0.562 0.562
0.064 0.064 0.566
0.064 0.566 0.064
0.313 0.313 0.313
0.562 0.060 0.562
0.562 0.562 0.060
0.566 0.064 0.064
0.813 0.813 0.813
```

Main lines, by intensity (2θ = 5–70°):
two_theta  I/Imax
42.3  100.0
35.8  59.9
68.9  22.6
44.3  17.3
64.4  16.3
21.7  10.5
68.8  7.4
64.3  5.5
20.8  1.6
10.8  1.5